Entry 1:
Diffraction record for Rb3Ac. The XRD peak list is simulated, not measured: it uses DFT lattice parameters and positions (GGA-PBE) and Cu Kα X-rays.
Intensities are scaled so that the largest is 100.

Top 10 peaks for 10° ≤ 2θ ≤ 90°, low angle first:
2θ (°), intensity
15.90, 19
22.05, 22
23.04, 27
24.92, 100
32.11, 17
38.70, 21
41.64, 26
45.52, 26
46.58, 18
62.11, 16

Crystal structure
```
Rb3Ac
1.0
9.3077 0.0000 0.0000
-4.6538 8.0607 0.0000
0.0000 0.0000 7.7194
Rb Ac
6 2
direct
0.1705 0.3410 0.2500
0.1705 0.8295 0.2500
0.3410 0.1705 0.7500
0.6590 0.8295 0.2500
0.8295 0.1705 0.7500
0.8295 0.6590 0.7500
0.3333 0.6667 0.7500
0.6667 0.3333 0.2500
```

***

Entry 2:
Diffraction record for RbAcTe2. The XRD peak list is simulated, not measured: it uses DFT lattice parameters and positions (GGA-PBE) and Cu Kα X-rays.
Intensities are scaled so that the largest is 100.

Top 10 peaks for 10° ≤ 2θ ≤ 90°, low angle first:
2θ (°), intensity
18.45, 12
30.36, 100
35.76, 8
43.47, 19
47.60, 4
53.94, 40
63.16, 12
71.67, 17
79.79, 4
87.70, 21

Crystal structure
```
RbAcTe2
1.0
0.0000 4.1639 4.1639
4.1639 0.0000 4.1639
4.1639 4.1639 0.0000
Rb Ac Te
1 1 2
direct
0.0000 0.0000 0.0000
0.5000 0.5000 0.5000
0.2500 0.2500 0.2500
0.7500 0.7500 0.7500
```

***

Entry 3:
Diffraction record for AcSc3. The XRD peak list is simulated, not measured: it uses DFT lattice parameters and positions (GGA-PBE) and Cu Kα X-rays.
Intensities are scaled so that the largest is 100.

Top 10 peaks for 10° ≤ 2θ ≤ 90°, low angle first:
2θ (°), intensity
14.68, 23
21.70, 76
25.56, 33
29.60, 24
32.11, 26
33.77, 100
41.48, 19
42.83, 24
58.31, 20
62.90, 21

Crystal structure
```
AcSc3
1.0
6.9697 0.0000 0.0000
-3.4849 6.0360 0.0000
0.0000 0.0000 5.5747
Ac Sc
2 6
direct
0.3333 0.6667 0.2500
0.6667 0.3333 0.7500
0.1591 0.3181 0.7500
0.1591 0.8409 0.7500
0.3181 0.1591 0.2500
0.6819 0.8409 0.7500
0.8409 0.1591 0.2500
0.8409 0.6819 0.2500
```

***

Entry 4:
Diffraction record for Ac3Si. The XRD peak list is simulated, not measured: it uses DFT lattice parameters and positions (GGA-PBE) and Cu Kα X-rays.
Intensities are scaled so that the largest is 100.

Top 10 peaks for 10° ≤ 2θ ≤ 90°, low angle first:
2θ (°), intensity
20.97, 35
27.15, 25
31.67, 100
32.31, 23
36.18, 11
42.69, 15
47.98, 19
57.21, 19
58.63, 15
59.03, 21

Crystal structure
```
Ac3Si
1.0
7.5850 0.0000 0.0000
-3.7925 6.5688 0.0000
0.0000 0.0000 5.5421
Ac Si
6 2
direct
0.1812 0.3624 0.2500
0.1812 0.8188 0.2500
0.3624 0.1812 0.7500
0.6376 0.8188 0.2500
0.8188 0.1812 0.7500
0.8188 0.6376 0.7500
0.3333 0.6667 0.7500
0.6667 0.3333 0.2500
```

***

Entry 5:
Diffraction record for Ac2ZnSn. The XRD peak list is simulated, not measured: it uses DFT lattice parameters and positions (GGA-PBE) and Cu Kα X-rays.
Intensities are scaled so that the largest is 100.

Top 10 peaks for 10° ≤ 2θ ≤ 90°, low angle first:
2θ (°), intensity
22.12, 18
31.48, 100
38.81, 6
45.11, 19
50.79, 8
56.05, 40
65.71, 13
70.26, 4
74.68, 17
83.28, 4

Crystal structure
```
Ac2ZnSn
1.0
0.0000 4.0193 4.0193
4.0193 0.0000 4.0193
4.0193 4.0193 0.0000
Ac Zn Sn
2 1 1
direct
0.2500 0.2500 0.2500
0.7500 0.7500 0.7500
0.0000 0.0000 0.0000
0.5000 0.5000 0.5000
```

***

Entry 6:
Diffraction record for SrAc3. The XRD peak list is simulated, not measured: it uses DFT lattice parameters and positions (GGA-PBE) and Cu Kα X-rays.
Intensities are scaled so that the largest is 100.

Top 10 peaks for 10° ≤ 2θ ≤ 90°, low angle first:
2θ (°), intensity
27.01, 100
31.18, 35
31.48, 17
44.68, 13
44.90, 26
52.99, 32
53.37, 16
55.68, 14
72.08, 13
82.51, 9

Crystal structure
```
SrAc3
1.0
-2.8683 2.8683 5.6837
2.8683 -2.8683 5.6837
2.8683 2.8683 -5.6837
Sr Ac
1 3
direct
0.0000 0.0000 0.0000
0.2500 0.7500 0.5000
0.5000 0.5000 0.0000
0.7500 0.2500 0.5000
```

***

Entry 7:
Diffraction record for SrAc3. The XRD peak list is simulated, not measured: it uses DFT lattice parameters and positions (GGA-PBE) and Cu Kα X-rays.
Intensities are scaled so that the largest is 100.

Top 10 peaks for 10° ≤ 2θ ≤ 90°, low angle first:
2θ (°), intensity
25.25, 23
27.23, 26
28.75, 100
37.47, 17
44.49, 21
49.07, 24
52.95, 25
53.83, 18
72.33, 15
85.31, 10

Crystal structure
```
SrAc3
1.0
8.1455 0.0000 0.0000
-4.0728 7.0542 0.0000
0.0000 0.0000 6.5498
Sr Ac
2 6
direct
0.3333 0.6667 0.2500
0.6667 0.3333 0.7500
0.1641 0.3281 0.7500
0.1641 0.8359 0.7500
0.3281 0.1641 0.2500
0.6719 0.8359 0.7500
0.8359 0.1641 0.2500
0.8359 0.6719 0.2500
```

***

Entry 8:
Diffraction record for Sr3Ac. The XRD peak list is simulated, not measured: it uses DFT lattice parameters and positions (GGA-PBE) and Cu Kα X-rays.
Intensities are scaled so that the largest is 100.

Top 10 peaks for 10° ≤ 2θ ≤ 90°, low angle first:
2θ (°), intensity
17.96, 19
24.56, 23
26.43, 26
27.94, 100
36.38, 17
43.23, 20
47.59, 23
51.38, 25
52.26, 18
70.08, 15

Crystal structure
```
Sr3Ac
1.0
8.3717 0.0000 0.0000
-4.1859 7.2501 0.0000
0.0000 0.0000 6.7457
Sr Ac
6 2
direct
0.1699 0.3399 0.2500
0.1699 0.8301 0.2500
0.3399 0.1699 0.7500
0.6601 0.8301 0.2500
0.8301 0.1699 0.7500
0.8301 0.6601 0.7500
0.3333 0.6667 0.7500
0.6667 0.3333 0.2500
```